Te5Rh3: simulated XRD peak list (Cu Ka), based on a crystal structure in Alexandria, relaxed with PBE.

Most intense lines, 10 to 90 degrees two-theta, low angle first:
- 2θ = 17.6°, I = 66
- 2θ = 29.6°, I = 100
- 2θ = 30.3°, I = 56
- 2θ = 31.2°, I = 64
- 2θ = 32.4°, I = 40
- 2θ = 35.6°, I = 36
- 2θ = 42.3°, I = 44
- 2θ = 47.9°, I = 45

Atomic structure:
```
Te5Rh3
1.0
6.0593 0.0000 0.0000
1.9034 7.3150 0.0000
1.7676 2.4121 9.1239
Te Rh
10 6
Direct
0.1343 0.1469 0.2246
0.1415 0.3990 0.8271
0.2987 0.0698 0.5875
0.3054 0.6075 0.4126
0.3575 0.8140 0.9865
0.6425 0.1860 0.0135
0.6946 0.3925 0.5874
0.7013 0.9302 0.4125
0.8585 0.6010 0.1729
0.8657 0.8531 0.7754
0.0719 0.3652 0.4054
0.2775 0.4525 0.0567
0.4956 0.8716 0.2198
0.5044 0.1284 0.7802
0.7225 0.5475 0.9433
0.9281 0.6348 0.5946
```



Te10Rh7: simulated XRD peak list (Cu Ka), based on a crystal structure in Alexandria, relaxed with PBE.

Most intense lines, 10 to 90 degrees two-theta, low angle first:
- 2θ = 30.0°, I = 100
- 2θ = 30.1°, I = 73
- 2θ = 30.5°, I = 45
- 2θ = 30.8°, I = 76
- 2θ = 41.0°, I = 35
- 2θ = 41.1°, I = 34
- 2θ = 45.1°, I = 51
- 2θ = 45.4°, I = 99

Atomic structure:
```
Te10Rh7
1.0
8.8547 0.0000 0.0000
1.9003 8.8123 0.0000
2.9056 2.0399 9.9993
Te Rh
20 14
Direct
0.0045 0.2730 0.2948
0.0905 0.8424 0.3042
0.1140 0.3573 0.8978
0.1939 0.9309 0.9085
0.2055 0.4692 0.4967
0.2924 0.0394 0.4998
0.3151 0.5564 0.1010
0.3973 0.1299 0.1060
0.4001 0.6700 0.6970
0.4830 0.2537 0.6952
0.5170 0.7463 0.3048
0.5999 0.3300 0.3030
0.6027 0.8701 0.8940
0.6849 0.4436 0.8990
0.7076 0.9606 0.5002
0.7945 0.5308 0.5033
0.8061 0.0691 0.0915
0.8860 0.6427 0.1022
0.9095 0.1576 0.6958
0.9955 0.7270 0.7052
0.0454 0.5667 0.2944
0.1010 0.0994 0.1036
0.1547 0.6360 0.9137
0.2518 0.7582 0.4931
0.3030 0.2997 0.3037
0.3614 0.8325 0.1129
0.4403 0.9725 0.6967
0.5597 0.0275 0.3033
0.6386 0.1675 0.8871
0.6970 0.7003 0.6963
0.7482 0.2418 0.5069
0.8453 0.3640 0.0863
0.8990 0.9006 0.8964
0.9546 0.4333 0.7056
```



ThTeRh: simulated XRD peak list (Cu Ka), based on a crystal structure in Alexandria, relaxed with PBE.

Most intense lines, 10 to 90 degrees two-theta, low angle first:
- 2θ = 13.2°, I = 54
- 2θ = 25.8°, I = 95
- 2θ = 32.0°, I = 100
- 2θ = 33.8°, I = 96
- 2θ = 34.3°, I = 39
- 2θ = 38.4°, I = 66
- 2θ = 39.6°, I = 39
- 2θ = 47.2°, I = 68

Atomic structure:
```
ThTeRh
1.0
4.5587 0.0000 0.0000
0.0000 5.2978 0.0000
-0.4816 0.0000 6.7201
Th Te Rh
2 2 2
Direct
0.1846 0.2500 0.3194
0.8154 0.7500 0.6806
0.2335 0.2500 0.8326
0.7665 0.7500 0.1674
0.3014 0.7500 0.3825
0.6986 0.2500 0.6175
```



TiTeRh2: simulated XRD peak list (Cu Ka), based on a crystal structure in Alexandria, relaxed with PBE.

Most intense lines, 10 to 90 degrees two-theta, low angle first:
- 2θ = 28.8°, I = 33
- 2θ = 35.8°, I = 58
- 2θ = 36.3°, I = 93
- 2θ = 40.7°, I = 69
- 2θ = 41.4°, I = 36
- 2θ = 41.9°, I = 100
- 2θ = 47.2°, I = 43
- 2θ = 55.3°, I = 32

Atomic structure:
```
TiTeRh2
1.0
5.0325 0.0000 0.0000
0.0000 4.4366 0.0000
-1.2446 0.0000 6.4967
Ti Te Rh
2 2 4
Direct
0.1916 0.2500 0.1624
0.8084 0.7500 0.8376
0.2811 0.7500 0.6007
0.7189 0.2500 0.3993
0.1118 0.2500 0.7760
0.3338 0.7500 0.0130
0.6662 0.2500 0.9870
0.8882 0.7500 0.2240
```



Tl2Te4Rh3: simulated XRD peak list (Cu Ka), based on a crystal structure in Alexandria, relaxed with PBE.

Most intense lines, 10 to 90 degrees two-theta, low angle first:
- 2θ = 28.9°, I = 11
- 2θ = 29.3°, I = 100
- 2θ = 32.1°, I = 24
- 2θ = 33.1°, I = 15
- 2θ = 42.2°, I = 30
- 2θ = 51.4°, I = 32
- 2θ = 52.1°, I = 15
- 2θ = 52.9°, I = 11

Atomic structure:
```
Tl2Te4Rh3
1.0
-2.9708 6.1776 6.5249
2.9708 -6.1776 6.5249
2.9708 6.1776 -6.5249
Tl Te Rh
4 8 6
Direct
0.1430 0.2052 0.3482
0.3570 0.7052 0.0622
0.6430 0.2948 0.9378
0.8570 0.7948 0.6518
0.0315 0.4316 0.1683
0.2367 0.0684 0.5999
0.2633 0.8632 0.8317
0.4685 0.6368 0.4001
0.5315 0.3632 0.5999
0.7367 0.1368 0.1683
0.7633 0.9316 0.4001
0.9685 0.5684 0.8317
0.0147 0.2500 0.7647
0.2500 0.2500 0.0000
0.4853 0.2500 0.2353
0.5147 0.7500 0.7647
0.7500 0.7500 0.0000
0.9853 0.7500 0.2353
```



Tm2TeRh: simulated XRD peak list (Cu Ka), based on a crystal structure in Alexandria, relaxed with PBE.

Most intense lines, 10 to 90 degrees two-theta, low angle first:
- 2θ = 26.4°, I = 25
- 2θ = 30.3°, I = 28
- 2θ = 32.9°, I = 100
- 2θ = 39.1°, I = 25
- 2θ = 44.1°, I = 55
- 2θ = 50.1°, I = 17
- 2θ = 56.1°, I = 22
- 2θ = 74.0°, I = 19

Atomic structure:
```
Tm2TeRh
1.0
4.1055 0.0000 0.0000
-2.0528 3.5555 0.0000
0.0000 0.0000 21.2109
Tm Te Rh
6 3 3
Direct
0.0000 0.0000 0.0000
0.0000 0.0000 0.1967
0.3333 0.6667 0.6667
0.3333 0.6667 0.8634
0.6667 0.3333 0.3333
0.6667 0.3333 0.5300
0.0000 0.0000 0.7637
0.3333 0.6667 0.4304
0.6667 0.3333 0.0970
0.0000 0.0000 0.6009
0.3333 0.6667 0.2676
0.6667 0.3333 0.9343
```



UTeRh: simulated XRD peak list (Cu Ka), based on a crystal structure in Alexandria, relaxed with PBE.

Most intense lines, 10 to 90 degrees two-theta, low angle first:
- 2θ = 14.9°, I = 40
- 2θ = 29.3°, I = 34
- 2θ = 30.2°, I = 65
- 2θ = 35.8°, I = 40
- 2θ = 36.0°, I = 100
- 2θ = 37.5°, I = 68
- 2θ = 39.6°, I = 59
- 2θ = 52.7°, I = 34

Atomic structure:
```
UTeRh
1.0
0.0000 5.7565 4.8312
5.0211 0.0000 4.8312
5.0211 5.7565 0.0000
U Te Rh
4 4 4
Direct
0.0617 0.9383 0.2808
0.5308 0.9692 0.3117
0.9383 0.0617 0.7192
0.9692 0.5308 0.1883
0.2358 0.4157 0.4436
0.3451 0.8064 0.8343
0.4157 0.2358 0.9049
0.8064 0.3451 0.0142
0.2692 0.6881 0.5852
0.6648 0.7924 0.9808
0.6881 0.2692 0.4576
0.7924 0.6648 0.5619
```



VTe4Rh: simulated XRD peak list (Cu Ka), based on a crystal structure in Alexandria, relaxed with PBE.

Most intense lines, 10 to 90 degrees two-theta, low angle first:
- 2θ = 13.3°, I = 42
- 2θ = 29.1°, I = 21
- 2θ = 29.7°, I = 38
- 2θ = 32.4°, I = 100
- 2θ = 35.4°, I = 36
- 2θ = 47.3°, I = 26
- 2θ = 48.7°, I = 19
- 2θ = 50.1°, I = 22

Atomic structure:
```
VTe4Rh
1.0
13.7419 0.0000 0.0000
0.0000 3.7424 0.0000
-1.5613 0.0000 6.0801
V Te Rh
2 8 2
Direct
0.0000 0.0000 0.0000
0.5000 0.5000 0.0000
0.0919 0.0000 0.4500
0.1372 0.5000 0.9780
0.3554 0.5000 0.6552
0.3934 0.0000 0.1727
0.5919 0.5000 0.4500
0.6372 0.0000 0.9780
0.8554 0.0000 0.6552
0.8934 0.5000 0.1727
0.4909 0.0000 0.6062
0.9909 0.5000 0.6062
```



Y6Te2Rh: simulated XRD peak list (Cu Ka), based on a crystal structure in Alexandria, relaxed with PBE.

Most intense lines, 10 to 90 degrees two-theta, low angle first:
- 2θ = 29.7°, I = 42
- 2θ = 31.2°, I = 100
- 2θ = 32.1°, I = 48
- 2θ = 32.2°, I = 33
- 2θ = 33.2°, I = 53
- 2θ = 34.0°, I = 46
- 2θ = 34.5°, I = 36
- 2θ = 45.0°, I = 45

Atomic structure:
```
Y6Te2Rh
1.0
21.8509 0.0000 0.0000
0.0000 4.0256 0.0000
0.0000 0.0000 11.5430
Y Te Rh
24 8 4
Direct
0.0069 0.2500 0.1172
0.0229 0.7500 0.3806
0.1100 0.2500 0.8111
0.1440 0.7500 0.0648
0.1514 0.2500 0.5321
0.2348 0.7500 0.7425
0.2652 0.2500 0.2425
0.3486 0.7500 0.0321
0.3560 0.2500 0.5648
0.3900 0.7500 0.3111
0.4771 0.2500 0.8806
0.4931 0.7500 0.6172
0.5069 0.2500 0.3828
0.5229 0.7500 0.1194
0.6100 0.2500 0.6889
0.6440 0.7500 0.4352
0.6514 0.2500 0.9679
0.7348 0.7500 0.7575
0.7652 0.2500 0.2575
0.8486 0.7500 0.4679
0.8560 0.2500 0.9352
0.8900 0.7500 0.1889
0.9771 0.2500 0.6194
0.9931 0.7500 0.8828
0.1257 0.2500 0.2680
0.2393 0.2500 0.9595
0.2607 0.7500 0.4595
0.3743 0.7500 0.7680
0.6257 0.2500 0.2320
0.7393 0.2500 0.5405
0.7607 0.7500 0.0405
0.8743 0.7500 0.7320
0.0723 0.7500 0.6417
0.4277 0.2500 0.1417
0.5723 0.7500 0.8583
0.9277 0.2500 0.3583
```



ThRh4: simulated XRD peak list (Cu Ka), based on a crystal structure in Alexandria, relaxed with PBE.

Most intense lines, 10 to 90 degrees two-theta, low angle first:
- 2θ = 28.9°, I = 19
- 2θ = 38.0°, I = 96
- 2θ = 38.7°, I = 100
- 2θ = 40.7°, I = 44
- 2θ = 41.8°, I = 42
- 2θ = 50.7°, I = 17
- 2θ = 59.8°, I = 28
- 2θ = 77.8°, I = 23

Atomic structure:
```
ThRh4
1.0
-2.1592 2.8936 6.8932
2.1592 -2.8936 6.8932
2.1592 2.8936 -6.8932
Th Rh
2 8
Direct
0.3561 0.1061 0.2500
0.6439 0.8939 0.7500
0.0000 0.5000 0.5000
0.1385 0.8885 0.2500
0.1725 0.6967 0.4758
0.2792 0.3033 0.9758
0.5000 0.5000 0.0000
0.7208 0.6967 0.0242
0.8275 0.3033 0.5242
0.8615 0.1115 0.7500
```



Th3Rh8: simulated XRD peak list (Cu Ka), based on a crystal structure in Alexandria, relaxed with PBE.

Most intense lines, 10 to 90 degrees two-theta, low angle first:
- 2θ = 28.8°, I = 36
- 2θ = 30.2°, I = 23
- 2θ = 33.8°, I = 22
- 2θ = 35.4°, I = 46
- 2θ = 36.4°, I = 100
- 2θ = 37.9°, I = 41
- 2θ = 41.5°, I = 24
- 2θ = 42.8°, I = 42

Atomic structure:
```
Th3Rh8
1.0
5.3324 0.0000 0.0000
-0.4780 6.3104 0.0000
-1.9977 -2.2891 6.2080
Th Rh
3 8
Direct
0.0000 0.0000 0.0000
0.0000 0.0000 0.5000
0.5000 0.5000 0.0000
0.1370 0.5929 0.2264
0.1867 0.6585 0.6662
0.3561 0.2919 0.4459
0.4922 0.9339 0.1783
0.5078 0.0661 0.8217
0.6439 0.7081 0.5541
0.8133 0.3415 0.3338
0.8630 0.4071 0.7736
```



Th6TlRh: simulated XRD peak list (Cu Ka), based on a crystal structure in Alexandria, relaxed with PBE.

Most intense lines, 10 to 90 degrees two-theta, low angle first:
- 2θ = 22.7°, I = 32
- 2θ = 28.7°, I = 97
- 2θ = 31.5°, I = 41
- 2θ = 34.1°, I = 100
- 2θ = 35.2°, I = 54
- 2θ = 47.9°, I = 30
- 2θ = 50.8°, I = 33
- 2θ = 56.3°, I = 32

Atomic structure:
```
Th6TlRh
1.0
5.1027 2.9460 2.8428
-5.1027 2.9460 2.8428
0.0000 -5.8921 2.8428
Th Tl Rh
6 1 1
Direct
0.2003 0.2003 0.6066
0.2003 0.6066 0.2003
0.3934 0.7997 0.7997
0.6066 0.2003 0.2003
0.7997 0.3934 0.7997
0.7997 0.7997 0.3934
0.0000 0.0000 0.0000
0.5000 0.5000 0.5000
```



Repeat the seventh record exactly.
UTeRh: simulated XRD peak list (Cu Ka), based on a crystal structure in Alexandria, relaxed with PBE.

Most intense lines, 10 to 90 degrees two-theta, low angle first:
- 2θ = 14.9°, I = 40
- 2θ = 29.3°, I = 34
- 2θ = 30.2°, I = 65
- 2θ = 35.8°, I = 40
- 2θ = 36.0°, I = 100
- 2θ = 37.5°, I = 68
- 2θ = 39.6°, I = 59
- 2θ = 52.7°, I = 34

Atomic structure:
```
UTeRh
1.0
0.0000 5.7565 4.8312
5.0211 0.0000 4.8312
5.0211 5.7565 0.0000
U Te Rh
4 4 4
Direct
0.0617 0.9383 0.2808
0.5308 0.9692 0.3117
0.9383 0.0617 0.7192
0.9692 0.5308 0.1883
0.2358 0.4157 0.4436
0.3451 0.8064 0.8343
0.4157 0.2358 0.9049
0.8064 0.3451 0.0142
0.2692 0.6881 0.5852
0.6648 0.7924 0.9808
0.6881 0.2692 0.4576
0.7924 0.6648 0.5619
```